1.
# Ta9Fe2S6
Simulated powder diffractogram, Cu Kα, 1.54184 Å. Input: a GGA-PBE-relaxed structure.

```
data_Ta9Fe2S6
_chemical_formula_sum 'Ta18 Fe4 S12'
_space_group_name_H-M_alt 'P -6 2 m'
_space_group_IT_number 189
_space_group_name_Hall 'P -6 -2'
_cell_length_a 10.4358
_cell_length_b 10.4358
_cell_length_c 6.5923
_cell_angle_alpha 90.00
_cell_angle_beta 90.00
_cell_angle_gamma 120.00
loop_
_atom_site_label
_atom_site_type_symbol
_atom_site_fract_x
_atom_site_fract_y
_atom_site_fract_z
_atom_site_occupancy
Ta1 Ta 0.0000 0.4599 0.2460 1
Ta2 Ta 0.1907 0.7353 0.5000 1
Ta3 Ta 0.2169 0.7440 0.0000 1
Fe1 Fe 0.3333 0.6667 0.2832 1
S1 S 0.0000 0.2767 0.0000 1
S2 S 0.0000 0.2791 0.5000 1
S3 S 0.0000 0.7012 0.2335 1
```

Top 12 peaks for 2θ from 10° to 90°, in order of rising 2θ:
| Position (°2θ) | I (rel.) | hkl |
| --- | --- | --- |
| 26.1 | 16 | 2 1 0 |
| 33.7 | 65 | 2 0 2 |
| 35.8 | 60 | 3 1 0 |
| 37.9 | 100 | 2 1 2 |
| 39.9 | 45 | 4 0 0 |
| 40.6 | 17 | 3 0 2 |
| 44.3 | 42 | 2 2 2 |
| 56.7 | 16 | 5 1 0 |
| 60.2 | 16 | 3 3 2 |
| 63.9 | 21 | 5 1 2 |
| 68.1 | 21 | 3 1 4 |
| 70.8 | 17 | 4 0 4 |

***

2.
# Fe4Te3S
Simulated powder diffractogram, Cu Kα, 1.54184 Å. Input: a GGA-PBE-relaxed structure.

```
data_Fe4Te3S
_chemical_formula_sum 'Fe8 Te6 S2'
_space_group_name_H-M_alt 'A m m 2'
_space_group_IT_number 38
_cell_length_a 3.6046
_cell_length_b 7.2425
_cell_length_c 12.7342
_cell_angle_alpha 90.00
_cell_angle_beta 90.00
_cell_angle_gamma 90.00
loop_
_space_group_symop_operation_xyz
'x,y,z'
'-x,-y,z'
'-x,y,z'
'x,-y,z'
'x,y+1/2,z+1/2'
'-x,-y+1/2,z+1/2'
'-x,y+1/2,z+1/2'
'x,-y+1/2,z+1/2'
loop_
_atom_site_label
_atom_site_type_symbol
_atom_site_fract_x
_atom_site_fract_y
_atom_site_fract_z
_atom_site_occupancy
Fe1 Fe 0.0000 0.0000 0.0000 1
Fe2 Fe 0.0000 0.0000 0.5002 1
Fe3 Fe 0.5000 0.2459 0.4995 1
Te1 Te 0.0000 0.2500 0.1442 1
Te2 Te 0.5000 0.0000 0.8561 1
S1 S 0.5000 0.0000 0.3904 1
```

Top 12 peaks for 2θ from 10° to 90°, in order of rising 2θ:
| Position (°2θ) | I (rel.) | hkl |
| --- | --- | --- |
| 13.9 | 47 | 0 0 2 |
| 14.1 | 21 | 0 1 1 |
| 28.4 | 81 | 0 2 2 |
| 28.5 | 89 | 1 0 2 |
| 37.9 | 54 | 1 2 2 |
| 42.6 | 19 | 0 0 6 |
| 45.5 | 100 | 1 2 4 |
| 49.8 | 22 | 0 2 6 |
| 50.4 | 23 | 0 4 0 |
| 50.6 | 21 | 2 0 0 |
| 58.9 | 22 | 1 4 2 |
| 59.1 | 20 | 2 2 2 |